Simulated powder diffraction line list
Compound: Y7NiSe5
Radiation: copper Kα
Structure: the GGA-PBE geometry in Alexandria

Atomic structure:
Unit cell a=7.002 b=7.002 c=24.370 alpha=90.00 beta=90.00 gamma=147.26
Atoms (fractional coordinates):
Y 0.047 0.953 0.750
Y 0.139 0.861 0.039
Y 0.139 0.861 0.461
Y 0.295 0.705 0.681
Y 0.295 0.705 0.819
Y 0.413 0.587 0.116
Y 0.413 0.587 0.384
Y 0.587 0.413 0.616
Y 0.587 0.413 0.884
Y 0.705 0.295 0.181
Y 0.705 0.295 0.319
Y 0.861 0.139 0.539
Y 0.861 0.139 0.961
Y 0.953 0.047 0.250
Ni 0.305 0.695 0.250
Ni 0.695 0.305 0.750
Se 0.057 0.943 0.146
Se 0.057 0.943 0.354
Se 0.220 0.780 0.571
Se 0.220 0.780 0.929
Se 0.500 0.500 0.000
Se 0.500 0.500 0.500
Se 0.780 0.220 0.071
Se 0.780 0.220 0.429
Se 0.943 0.057 0.646
Se 0.943 0.057 0.854

Peak list (6 most intense, 2θ from 5° to 70°, in order of falling intensity)
| d [Å] | I_rel |
| --- | --- |
| 2.779 | 100 |
| 2.877 | 75 |
| 3.091 | 53 |
| 2.939 | 34 |
| 2.203 | 32 |
| 1.973 | 31 |

Simulated powder diffraction line list
Compound: Li3B8C8
Radiation: copper Kα
Structure: the GGA-PBE geometry in Alexandria

Atomic structure:
Unit cell a=4.549 b=2.716 c=14.065 alpha=90.00 beta=96.24 gamma=90.00
Atoms (fractional coordinates):
Li 0.000 0.000 0.000
Li 0.023 0.000 0.261
Li 0.977 0.000 0.739
B 0.162 0.500 0.876
B 0.223 0.000 0.600
B 0.268 0.500 0.417
B 0.352 0.000 0.140
B 0.648 0.000 0.860
B 0.732 0.500 0.583
B 0.777 0.000 0.400
B 0.838 0.500 0.124
C 0.064 0.500 0.614
C 0.191 0.500 0.140
C 0.314 0.000 0.877
C 0.461 0.000 0.443
C 0.539 0.000 0.557
C 0.686 0.000 0.123
C 0.809 0.500 0.860
C 0.936 0.500 0.386

Peak list (6 most intense, 2θ from 5° to 70°, in order of falling intensity)
| d [Å] | I_rel |
| --- | --- |
| 3.495 | 100 |
| 4.660 | 53 |
| 6.991 | 33 |
| 1.999 | 25 |
| 13.981 | 23 |
| 2.329 | 18 |

Simulated powder diffraction line list
Compound: SnTe5Ir3
Radiation: copper Kα
Structure: the GGA-PBE geometry in Alexandria

Atomic structure:
Unit cell a=6.488 b=4.114 c=16.296 alpha=90.00 beta=91.01 gamma=90.00
Atoms (fractional coordinates):
Sn 0.145 0.000 0.244
Sn 0.855 0.000 0.756
Te 0.119 0.000 0.905
Te 0.133 0.000 0.573
Te 0.359 0.500 0.744
Te 0.368 0.500 0.075
Te 0.370 0.500 0.405
Te 0.630 0.500 0.595
Te 0.632 0.500 0.925
Te 0.641 0.500 0.256
Te 0.867 0.000 0.427
Te 0.881 0.000 0.095
Ir 0.000 0.500 0.000
Ir 0.001 0.500 0.335
Ir 0.493 0.000 0.837
Ir 0.500 0.000 0.500
Ir 0.507 0.000 0.163
Ir 0.999 0.500 0.665

Peak list (6 most intense, 2θ from 5° to 70°, in order of falling intensity)
| d [Å] | I_rel |
| --- | --- |
| 3.279 | 100 |
| 2.149 | 69 |
| 2.130 | 68 |
| 1.914 | 62 |
| 2.057 | 49 |
| 2.939 | 47 |

Simulated powder diffraction line list
Compound: SrSn3
Radiation: copper Kα
Structure: the GGA-PBE geometry in Alexandria

Atomic structure:
Unit cell a=11.784 b=11.784 c=11.784 alpha=34.61 beta=34.61 gamma=34.61
Atoms (fractional coordinates):
Sr 0.132 0.132 0.132
Sr 0.291 0.291 0.291
Sr 0.709 0.709 0.709
Sr 0.868 0.868 0.868
Sn 0.164 0.602 0.602
Sn 0.202 0.202 0.723
Sn 0.202 0.723 0.202
Sn 0.277 0.798 0.798
Sn 0.398 0.398 0.836
Sn 0.398 0.836 0.398
Sn 0.602 0.164 0.602
Sn 0.602 0.602 0.164
Sn 0.723 0.202 0.202
Sn 0.798 0.277 0.798
Sn 0.798 0.798 0.277
Sn 0.836 0.398 0.398

Peak list (6 most intense, 2θ from 5° to 70°, in order of falling intensity)
| d [Å] | I_rel |
| --- | --- |
| 2.763 | 100 |
| 2.557 | 53 |
| 1.480 | 34 |
| 2.986 | 23 |
| 1.753 | 22 |
| 1.642 | 14 |

Simulated powder diffraction line list
Compound: Nd8Cu2Ni
Radiation: copper Kα
Structure: the GGA-PBE geometry in Alexandria

Atomic structure:
Unit cell a=9.280 b=9.280 c=6.870 alpha=102.01 beta=102.01 gamma=32.32
Atoms (fractional coordinates):
Nd 0.031 0.031 0.285
Nd 0.200 0.200 0.836
Nd 0.337 0.337 0.527
Nd 0.412 0.412 0.056
Nd 0.588 0.588 0.944
Nd 0.663 0.663 0.473
Nd 0.800 0.800 0.164
Nd 0.969 0.969 0.715
Cu 0.190 0.190 0.244
Cu 0.810 0.810 0.756
Ni 0.500 0.500 0.500

Peak list (6 most intense, 2θ from 5° to 70°, in order of falling intensity)
| d [Å] | I_rel |
| --- | --- |
| 2.583 | 100 |
| 2.860 | 96 |
| 2.843 | 95 |
| 3.154 | 93 |
| 2.887 | 66 |
| 2.701 | 54 |

Simulated powder diffraction line list
Compound: CsNaZr2Os
Radiation: copper Kα
Structure: the GGA-PBE geometry in Alexandria

Atomic structure:
Unit cell a=5.159 b=5.159 c=5.274 alpha=90.00 beta=90.00 gamma=90.00
Atoms (fractional coordinates):
Cs 0.000 0.000 0.000
Na 0.000 0.000 0.500
Zr 0.000 0.500 0.500
Zr 0.500 0.000 0.500
Os 0.500 0.500 0.000

Peak list (6 most intense, 2θ from 5° to 70°, in order of falling intensity)
| d [Å] | I_rel |
| --- | --- |
| 3.000 | 100 |
| 2.580 | 40 |
| 1.844 | 29 |
| 1.559 | 28 |
| 2.637 | 21 |
| 1.500 | 15 |

Simulated powder diffraction line list
Compound: Tb4Mg3Cd4
Radiation: copper Kα
Structure: the GGA-PBE geometry in Alexandria

Atomic structure:
Unit cell a=10.433 b=10.433 c=10.433 alpha=161.47 beta=126.28 gamma=57.32
Atoms (fractional coordinates):
Tb 0.020 0.836 0.184
Tb 0.348 0.164 0.184
Tb 0.652 0.836 0.816
Tb 0.980 0.164 0.816
Mg 0.000 0.500 0.500
Mg 0.409 0.409 0.000
Mg 0.591 0.591 0.000
Cd 0.276 0.776 0.500
Cd 0.289 0.000 0.289
Cd 0.711 0.000 0.711
Cd 0.724 0.224 0.500

Peak list (6 most intense, 2θ from 5° to 70°, in order of falling intensity)
| d [Å] | I_rel |
| --- | --- |
| 2.794 | 100 |
| 2.562 | 60 |
| 2.226 | 56 |
| 9.155 | 55 |
| 3.304 | 53 |
| 2.705 | 48 |

Simulated powder diffraction line list
Compound: ScRh3O6
Radiation: copper Kα
Structure: the GGA-PBE geometry in Alexandria

Atomic structure:
Unit cell a=6.146 b=6.146 c=3.221 alpha=90.00 beta=90.00 gamma=109.31
Atoms (fractional coordinates):
Sc 0.000 0.000 0.000
Rh 0.000 0.500 0.500
Rh 0.500 0.000 0.500
Rh 0.500 0.500 0.000
O 0.143 0.857 0.500
O 0.164 0.422 0.000
O 0.422 0.164 0.000
O 0.578 0.836 0.000
O 0.836 0.578 0.000
O 0.857 0.143 0.500

Peak list (6 most intense, 2θ from 5° to 70°, in order of falling intensity)
| d [Å] | I_rel |
| --- | --- |
| 2.900 | 100 |
| 2.710 | 87 |
| 1.729 | 63 |
| 2.387 | 33 |
| 1.486 | 26 |
| 1.408 | 21 |

Simulated powder diffraction line list
Compound: CeScPtRh
Radiation: copper Kα
Structure: the GGA-PBE geometry in Alexandria

Atomic structure:
Unit cell a=4.833 b=4.833 c=4.833 alpha=60.00 beta=60.00 gamma=60.00
Atoms (fractional coordinates):
Ce 0.000 0.000 0.000
Sc 0.500 0.500 0.500
Pt 0.750 0.750 0.750
Rh 0.250 0.250 0.250

Peak list (6 most intense, 2θ from 5° to 70°, in order of falling intensity)
| d [Å] | I_rel |
| --- | --- |
| 2.416 | 100 |
| 1.395 | 35 |
| 1.709 | 17 |
| 3.946 | 16 |
| 2.061 | 9 |
| 3.417 | 7 |

Simulated powder diffraction line list
Compound: BeS6I2
Radiation: copper Kα
Structure: the GGA-PBE geometry in Alexandria

Atomic structure:
Unit cell a=5.902 b=7.380 c=8.377 alpha=66.28 beta=76.34 gamma=80.01
Atoms (fractional coordinates):
Be 0.000 0.000 0.000
S 0.197 0.721 0.826
S 0.225 0.037 0.768
S 0.499 0.558 0.857
S 0.501 0.442 0.143
S 0.775 0.963 0.232
S 0.803 0.279 0.174
I 0.282 0.961 0.232
I 0.718 0.039 0.768

Peak list (6 most intense, 2θ from 5° to 70°, in order of falling intensity)
| d [Å] | I_rel |
| --- | --- |
| 6.730 | 100 |
| 3.993 | 59 |
| 3.769 | 58 |
| 3.350 | 52 |
| 7.537 | 34 |
| 2.511 | 27 |

Simulated powder diffraction line list
Compound: LaAg5Se4
Radiation: copper Kα
Structure: the GGA-PBE geometry in Alexandria

Atomic structure:
Unit cell a=8.536 b=8.536 c=8.536 alpha=150.28 beta=125.50 gamma=63.32
Atoms (fractional coordinates):
La 0.000 0.000 0.000
Ag 0.029 0.318 0.711
Ag 0.393 0.682 0.711
Ag 0.500 0.000 0.500
Ag 0.607 0.318 0.289
Ag 0.971 0.682 0.289
Se 0.213 0.213 0.000
Se 0.271 0.500 0.771
Se 0.729 0.500 0.229
Se 0.787 0.787 0.000

Peak list (6 most intense, 2θ from 5° to 70°, in order of falling intensity)
| d [Å] | I_rel |
| --- | --- |
| 2.859 | 100 |
| 2.059 | 85 |
| 3.248 | 34 |
| 2.190 | 33 |
| 2.422 | 26 |
| 3.633 | 24 |

Simulated powder diffraction line list
Compound: Li2GaI6
Radiation: copper Kα
Structure: the GGA-PBE geometry in Alexandria

Atomic structure:
Unit cell a=11.868 b=11.868 c=5.931 alpha=99.97 beta=99.97 gamma=117.94
Atoms (fractional coordinates):
Li 0.061 0.183 0.097
Li 0.183 0.061 0.597
Li 0.817 0.939 0.403
Li 0.939 0.817 0.903
Ga 0.327 0.673 0.250
Ga 0.673 0.327 0.750
I 0.045 0.201 0.610
I 0.135 0.628 0.894
I 0.201 0.045 0.110
I 0.274 0.460 0.383
I 0.372 0.865 0.606
I 0.460 0.274 0.883
I 0.540 0.726 0.117
I 0.628 0.135 0.394
I 0.726 0.540 0.617
I 0.799 0.955 0.890
I 0.865 0.372 0.106
I 0.955 0.799 0.390

Peak list (6 most intense, 2θ from 5° to 70°, in order of falling intensity)
| d [Å] | I_rel |
| --- | --- |
| 3.733 | 100 |
| 3.329 | 78 |
| 3.390 | 33 |
| 2.216 | 30 |
| 2.195 | 28 |
| 1.868 | 25 |